Record 1
# ZnSeO5
Theoretical X-ray powder pattern, CuKα. Input: a PBE-relaxed structure.
Lines closer than 0.1° are merged.

```
data_ZnSeO5
_cell_length_a 6.5129
_cell_length_b 7.8140
_cell_length_c 8.9323
_cell_angle_alpha 90.00
_cell_angle_beta 123.55
_cell_angle_gamma 90.00
_symmetry_space_group_name_H-M 'P 1 21/c 1'
_symmetry_Int_Tables_number 14
_symmetry_space_group_name_Hall '-P 2ybc'
loop_
_atom_site_label
_atom_site_fract_x
_atom_site_fract_y
_atom_site_fract_z
Zn1 0.1911 0.1885 0.0955
Se1 0.2294 0.6241 0.3075
O1 0.0212 0.7320 0.6687
O2 0.1426 0.5823 0.4506
O3 0.2496 0.0386 0.6936
O4 0.4259 0.0842 0.3387
O5 0.4887 0.2151 0.0645
```

Top 6 peaks for 10 to 90 degrees two-theta, in order of falling intensity:
2theta	intensity	hkl
25.75	100.0	0 2 1
30.31	83.3	2 1 -2
26.52	67.9	0 1 2
16.45	52.6	0 1 1
27.60	38.7	1 1 1
36.45	27.1	2 2 -1


Record 2
# GdEr3Mn8
Theoretical X-ray powder pattern, CuKα. Input: a PBE-relaxed structure.
Lines closer than 0.1° are merged.

```
data_GdEr3Mn8
_cell_length_a 8.4747
_cell_length_b 4.8912
_cell_length_c 7.9139
_cell_angle_alpha 90.00
_cell_angle_beta 90.46
_cell_angle_gamma 90.00
_symmetry_space_group_name_H-M 'C 1 m 1'
_symmetry_Int_Tables_number 8
_symmetry_space_group_name_Hall 'C -2y'
loop_
_atom_site_label
_atom_site_fract_x
_atom_site_fract_y
_atom_site_fract_z
Gd1 0.0000 0.0000 0.0000
Er1 0.0000 0.0000 0.6256
Er2 0.3333 0.0000 0.1258
Er3 0.3333 0.0000 0.4996
Mn1 0.0825 0.2471 0.3135
Mn2 0.1666 0.5000 0.0630
Mn3 0.1667 0.5000 0.5621
Mn4 0.2508 0.2474 0.8118
Mn5 0.3352 0.5000 0.3135
Mn6 0.4982 0.0000 0.8118
```

Top 6 peaks for 10 to 90 degrees two-theta, in order of falling intensity:
2theta	intensity	hkl
36.74	100.0	3 1 0
40.17	71.1	2 0 -3
40.38	70.4	1 1 3
43.35	45.6	3 1 -2
43.50	45.1	0 2 2
43.64	44.7	3 1 2